LiV3O5F3: simulated XRD peak list (Cu Kα X-rays), based on a structure optimized by DFT (GGA+U).
Lines closer than 0.1° are merged.

Top 6 peaks for 5° ≤ 2θ ≤ 70°, by intensity:
hkl  Position (°2θ)  Rel. int.
2 2 0  25.26  100
2 2 -1  30.58  70
2 2 1  31.12  59
4 0 2  54.78  49
2 4 1  42.16  48
4 4 1  55.47  37

Structural model:
abc: 9.107 11.148 5.089
angles: 90.00 91.35 90.00
Space group Cc (No. 9)
Unique sites:
Li  0.000  0.166  0.000 x4
V  0.013  0.323  0.534 x4
V  0.248  0.418  0.035 x4
V  0.256  0.056  0.491 x4
O  0.118  0.315  0.822 x4
O  0.142  0.439  0.350 x4
O  0.147  0.049  0.818 x4
O  0.375  0.061  0.168 x4
O  0.378  0.309  0.127 x4
F  0.127  0.193  0.346 x4
F  0.365  0.446  0.691 x4
F  0.390  0.182  0.670 x4